Theoretical powder diffractogram
Compound: Ca6Sc7
Radiation: Cu Ka
Structure: a DFT-relaxed cell (GGA-PBE, Alexandria)
Lines closer than 0.1° are merged.

Principal peaks in the range 5 to 70 degrees two-theta, in order of rising 2θ:
| 2theta | I/Imax |
| --- | --- |
| 28.0 | 27 |
| 29.7 | 32 |
| 31.9 | 100 |
| 32.6 | 29 |
| 34.0 | 18 |
| 34.9 | 41 |
| 52.1 | 31 |
| 58.0 | 22 |

Atomic structure:
Cell: 12.519 12.519 12.519 Å, 29.44 29.44 29.44°
Element x y z (fractional)
Ca1 0.049 0.049 0.049
Ca2 0.150 0.150 0.150
Ca3 0.333 0.333 0.333
Ca4 0.667 0.667 0.667
Ca5 0.850 0.850 0.850
Ca6 0.951 0.951 0.951
Sc1 0.097 0.591 0.591
Sc2 0.409 0.409 0.903
Sc3 0.409 0.903 0.409
Sc4 0.500 0.500 0.500
Sc5 0.591 0.097 0.591
Sc6 0.591 0.591 0.097
Sc7 0.903 0.409 0.409